1.
Calculated X-ray diffraction stick pattern
Compound: La6Ti2S8O5
Radiation: Cu Kα, 1.54184 Å
Structure: a cell relaxed with PBE

Largest 10 diffraction maxima, by angle, 10 to 90 degrees two-theta:
Position (°2θ)	d/Å	intensity	hkl
21.04	4.223	43	3 0 0
21.73	4.090	81	0 0 4
24.88	3.579	38	3 0 2
27.56	3.236	60	0 1 3
30.08	2.971	40	2 1 -3
30.72	2.911	100	3 1 -1
32.28	2.773	29	3 0 4
36.16	2.484	39	3 1 3
44.84	2.021	33	0 1 7
45.10	2.010	53	0 2 0

Crystal structure
Cell lengths 12.7707, 4.0204, 16.4857 Å; angles 90.00, 97.04, 90.00 degrees
Fractional coordinates of all 42 atoms:
La (0.0016, 0.2500, 0.1195)
La (0.0682, 0.2500, 0.3826)
La (0.2691, 0.7500, 0.6023)
La (0.3200, 0.7500, 0.1487)
La (0.3848, 0.7500, 0.8984)
La (0.3959, 0.2500, 0.3738)
La (0.6041, 0.7500, 0.6262)
La (0.6152, 0.2500, 0.1016)
La (0.6800, 0.2500, 0.8513)
La (0.7309, 0.2500, 0.3977)
La (0.9318, 0.7500, 0.6175)
La (0.9984, 0.7500, 0.8805)
Ti (0.1533, 0.2500, 0.7324)
Ti (0.4411, 0.2500, 0.7260)
Ti (0.5589, 0.7500, 0.2740)
Ti (0.8467, 0.7500, 0.2676)
S (0.0307, 0.7500, 0.2543)
S (0.0866, 0.2500, 0.5678)
S (0.1134, 0.7500, 0.0456)
S (0.1955, 0.2500, 0.8734)
S (0.2256, 0.2500, 0.2308)
S (0.2356, 0.7500, 0.4237)
S (0.3921, 0.2500, 0.0351)
S (0.4303, 0.2500, 0.5611)
S (0.5697, 0.7500, 0.4389)
S (0.6079, 0.7500, 0.9649)
S (0.7644, 0.2500, 0.5763)
S (0.7744, 0.7500, 0.7692)
S (0.8045, 0.7500, 0.1266)
S (0.8866, 0.2500, 0.9544)
S (0.9134, 0.7500, 0.4322)
S (0.9693, 0.2500, 0.7457)
O (0.1496, 0.7500, 0.7172)
O (0.2871, 0.2500, 0.6919)
O (0.4154, 0.7500, 0.2870)
O (0.4331, 0.7500, 0.7172)
O (0.4528, 0.2500, 0.8394)
O (0.5472, 0.7500, 0.1606)
O (0.5669, 0.2500, 0.2828)
O (0.5846, 0.2500, 0.7130)
O (0.7129, 0.7500, 0.3081)
O (0.8504, 0.2500, 0.2828)



2.
Calculated X-ray diffraction stick pattern
Compound: Rb2CuCl2F2
Radiation: Cu Kα, 1.54184 Å
Structure: a cell relaxed with PBE

Largest 10 diffraction maxima, by angle, 10 to 90 degrees two-theta:
Position (°2θ)	d/Å	intensity	hkl
13.29	6.661	19	0 0 2
24.69	3.606	66	1 1 0
26.62	3.349	100	1 0 3
35.19	2.550	74	2 0 0
36.73	2.447	29	1 1 4
40.63	2.220	20	0 0 6
44.67	2.029	50	2 1 3
50.62	1.803	24	2 2 0
54.82	1.675	31	2 0 6
66.84	1.400	16	2 2 6

Crystal structure
Cell lengths 5.1000, 5.1000, 13.3218 Å; angles 90.00, 90.00, 90.00 degrees
Fractional coordinates of all 14 atoms:
Rb (0.0000, 0.0000, 0.1536)
Rb (0.0000, 0.0000, 0.8464)
Rb (0.5000, 0.5000, 0.3464)
Rb (0.5000, 0.5000, 0.6536)
Cu (0.0000, 0.0000, 0.5000)
Cu (0.5000, 0.5000, 0.0000)
Cl (0.0000, 0.5000, 0.0000)
Cl (0.0000, 0.5000, 0.5000)
Cl (0.5000, 0.0000, 0.0000)
Cl (0.5000, 0.0000, 0.5000)
F (0.0000, 0.0000, 0.3566)
F (0.0000, 0.0000, 0.6434)
F (0.5000, 0.5000, 0.1434)
F (0.5000, 0.5000, 0.8566)



3.
Calculated X-ray diffraction stick pattern
Compound: CrSe2
Radiation: Cu Kα, 1.54184 Å
Structure: a cell relaxed with PBE

Largest 10 diffraction maxima, by angle, 10 to 90 degrees two-theta:
Position (°2θ)	d/Å	intensity	hkl
15.17	5.839	26	1 0 0
30.59	2.922	36	2 0 0
30.73	2.910	36	2 2 2
35.48	2.530	100	2 2 0
35.69	2.516	49	2 0 2
50.87	1.795	17	2 0 -2
51.15	1.786	34	2 2 4
51.25	1.783	50	4 2 2
75.08	1.265	10	4 4 0
86.18	1.129	15	2 -2 4

Crystal structure
Cell lengths 7.1226, 7.1340, 7.1377 Å; angles 60.13, 60.46, 60.06 degrees
Fractional coordinates of all 12 atoms:
Cr (0.0000, 0.0000, 0.0000)
Cr (0.0001, 0.4950, 0.5038)
Cr (0.0007, 0.0019, 0.5045)
Cr (0.4959, 0.0002, 0.5038)
Se (0.2396, 0.7512, 0.2582)
Se (0.2467, 0.2494, 0.2567)
Se (0.2484, 0.2464, 0.7521)
Se (0.2494, 0.7529, 0.7529)
Se (0.7504, 0.2425, 0.2542)
Se (0.7503, 0.7525, 0.2541)
Se (0.7534, 0.2494, 0.7502)
Se (0.7545, 0.7512, 0.7434)



4.
Calculated X-ray diffraction stick pattern
Compound: CeSi2Rh2
Radiation: Cu Kα, 1.54184 Å
Structure: a cell relaxed with PBE

Largest 10 diffraction maxima, by angle, 10 to 90 degrees two-theta:
Position (°2θ)	d/Å	intensity	hkl
23.42	3.799	22	1 0 1
34.43	2.605	28	1 0 3
35.48	2.530	18	0 0 4
35.70	2.515	100	1 1 2
44.20	2.049	36	2 0 0
57.20	1.611	13	2 1 3
57.91	1.592	17	2 0 4
63.85	1.458	17	1 1 6
64.28	1.449	12	2 2 0
75.76	1.256	22	3 1 2

Crystal structure
Cell lengths 4.0985, 4.0985, 10.1212 Å; angles 90.00, 90.00, 90.00 degrees
Fractional coordinates of all 10 atoms:
Ce (0.0000, 0.0000, 0.0000)
Ce (0.5000, 0.5000, 0.5000)
Si (0.0000, 0.0000, 0.3782)
Si (0.0000, 0.0000, 0.6218)
Si (0.5000, 0.5000, 0.1218)
Si (0.5000, 0.5000, 0.8782)
Rh (0.0000, 0.5000, 0.2500)
Rh (0.0000, 0.5000, 0.7500)
Rh (0.5000, 0.0000, 0.2500)
Rh (0.5000, 0.0000, 0.7500)



5.
Calculated X-ray diffraction stick pattern
Compound: EuH3CSO7
Radiation: Cu Kα, 1.54184 Å
Structure: a cell relaxed with PBE

Largest 10 diffraction maxima, by angle, 10 to 90 degrees two-theta:
Position (°2θ)	d/Å	intensity	hkl
14.50	6.108	100	1 0 1
17.70	5.011	32	1 1 0
19.34	4.590	64	1 0 2
25.49	3.494	29	1 0 3
26.22	3.399	64	2 0 1
28.16	3.169	41	2 1 0
33.73	2.657	38	2 0 3
38.91	2.314	29	2 2 2
41.01	2.201	31	3 0 2
41.35	2.183	34	1 2 4

Crystal structure
Cell lengths 7.0867, 7.0867, 12.0486 Å; angles 90.00, 90.00, 90.00 degrees
Fractional coordinates of all 52 atoms:
Eu (0.1150, 0.6288, 0.0000)
Eu (0.3712, 0.1150, 0.2500)
Eu (0.6288, 0.8850, 0.7500)
Eu (0.8850, 0.3712, 0.5000)
H (0.0865, 0.1313, 0.9482)
H (0.1313, 0.9135, 0.6982)
H (0.1732, 0.4124, 0.7844)
H (0.3827, 0.4681, 0.8155)
H (0.4124, 0.8268, 0.5344)
H (0.4681, 0.6173, 0.5655)
H (0.5319, 0.3827, 0.0655)
H (0.5876, 0.1732, 0.0344)
H (0.6173, 0.5319, 0.3155)
H (0.8268, 0.5876, 0.2844)
H (0.8687, 0.0865, 0.1982)
H (0.9135, 0.8687, 0.4482)
C (0.1288, 0.8627, 0.7844)
C (0.1373, 0.1288, 0.0344)
C (0.8627, 0.8712, 0.5344)
C (0.8712, 0.1373, 0.2844)
S (0.2251, 0.6095, 0.3025)
S (0.3905, 0.2251, 0.5525)
S (0.6095, 0.7749, 0.0525)
S (0.7749, 0.3905, 0.8025)
O (0.0305, 0.1703, 0.3307)
O (0.1011, 0.6178, 0.2035)
O (0.1094, 0.5696, 0.4019)
O (0.1632, 0.2837, 0.0849)
O (0.1703, 0.9695, 0.0807)
O (0.2073, 0.3201, 0.5699)
O (0.2582, 0.4364, 0.8468)
O (0.2837, 0.8368, 0.8349)
O (0.3201, 0.7927, 0.3199)
O (0.3702, 0.4575, 0.2889)
O (0.3822, 0.1011, 0.4535)
O (0.4304, 0.1094, 0.6519)
O (0.4364, 0.7418, 0.5968)
O (0.4575, 0.6298, 0.0389)
O (0.5425, 0.3702, 0.5389)
O (0.5636, 0.2582, 0.0968)
O (0.5696, 0.8906, 0.1519)
O (0.6178, 0.8989, 0.9535)
O (0.6298, 0.5425, 0.7889)
O (0.6799, 0.2073, 0.8199)
O (0.7163, 0.1632, 0.3349)
O (0.7418, 0.5636, 0.3468)
O (0.7927, 0.6799, 0.0699)
O (0.8297, 0.0305, 0.5807)
O (0.8368, 0.7163, 0.5849)
O (0.8906, 0.4304, 0.9019)
O (0.8989, 0.3822, 0.7035)
O (0.9695, 0.8297, 0.8307)



6.
Calculated X-ray diffraction stick pattern
Compound: Mg6AlSb
Radiation: Cu Kα, 1.54184 Å
Structure: a cell relaxed with PBE

Largest 10 diffraction maxima, by angle, 10 to 90 degrees two-theta:
Position (°2θ)	d/Å	intensity	hkl
16.18	5.479	45	0 1 1
16.52	5.368	25	0 0 2
16.94	5.235	23	1 0 0
23.50	3.785	42	1 1 1
23.74	3.748	20	1 0 2
32.69	2.740	30	0 2 2
33.41	2.682	30	0 0 4
34.26	2.617	40	2 0 0
37.04	2.427	100	1 2 2
37.66	2.388	48	1 0 4

Crystal structure
Cell lengths 5.2347, 6.3717, 10.7354 Å; angles 90.00, 90.00, 90.00 degrees
Fractional coordinates of all 16 atoms:
Mg (0.0000, 0.0000, 0.0000)
Mg (0.0000, 0.0000, 0.4971)
Mg (0.0000, 0.2449, 0.2465)
Mg (0.0000, 0.2551, 0.7465)
Mg (0.0000, 0.5000, 0.5000)
Mg (0.0000, 0.5000, 0.9971)
Mg (0.0000, 0.7449, 0.7465)
Mg (0.0000, 0.7551, 0.2465)
Mg (0.5000, 0.2494, 0.9143)
Mg (0.5000, 0.2506, 0.4143)
Mg (0.5000, 0.7494, 0.4143)
Mg (0.5000, 0.7506, 0.9143)
Al (0.5000, 0.0000, 0.1631)
Al (0.5000, 0.5000, 0.6631)
Sb (0.5000, 0.0000, 0.6636)
Sb (0.5000, 0.5000, 0.1636)



7.
Calculated X-ray diffraction stick pattern
Compound: NaYMg14O16
Radiation: Cu Kα, 1.54184 Å
Structure: a cell relaxed with PBE

Largest 10 diffraction maxima, by angle, 10 to 90 degrees two-theta:
Position (°2θ)	d/Å	intensity	hkl
14.43	6.137	18	0 1 1
22.87	3.889	21	1 0 1
35.82	2.507	50	1 2 2
41.40	2.181	99	0 0 4
41.56	2.173	100	2 0 0
41.85	2.158	96	0 4 0
60.11	1.539	56	2 0 4
60.33	1.534	55	0 4 4
60.45	1.531	56	2 4 0
75.92	1.253	50	2 4 4

Crystal structure
Cell lengths 4.3457, 8.6339, 8.7242 Å; angles 90.00, 90.00, 90.00 degrees
Fractional coordinates of all 32 atoms:
Na (0.0000, 0.0000, 0.0000)
Y (0.0000, 0.0000, 0.5000)
Mg (0.0000, 0.2542, 0.2395)
Mg (0.0000, 0.2542, 0.7605)
Mg (0.0000, 0.5000, 0.0000)
Mg (0.0000, 0.5000, 0.5000)
Mg (0.0000, 0.7458, 0.2395)
Mg (0.0000, 0.7458, 0.7605)
Mg (0.5000, 0.0000, 0.2323)
Mg (0.5000, 0.0000, 0.7677)
Mg (0.5000, 0.2478, 0.0000)
Mg (0.5000, 0.2615, 0.5000)
Mg (0.5000, 0.5000, 0.2466)
Mg (0.5000, 0.5000, 0.7534)
Mg (0.5000, 0.7385, 0.5000)
Mg (0.5000, 0.7522, 0.0000)
O (0.0000, 0.0000, 0.2509)
O (0.0000, 0.0000, 0.7491)
O (0.0000, 0.2609, 0.5000)
O (0.0000, 0.2661, 0.0000)
O (0.0000, 0.5000, 0.2529)
O (0.0000, 0.5000, 0.7471)
O (0.0000, 0.7339, 0.0000)
O (0.0000, 0.7391, 0.5000)
O (0.5000, 0.0000, 0.0000)
O (0.5000, 0.0000, 0.5000)
O (0.5000, 0.2492, 0.2526)
O (0.5000, 0.2492, 0.7474)
O (0.5000, 0.5000, 0.0000)
O (0.5000, 0.5000, 0.5000)
O (0.5000, 0.7508, 0.2526)
O (0.5000, 0.7508, 0.7474)